# 1
The following is a calculated powder XRD pattern of KAu7. It was derived from a cell relaxed with GGA-PBE, using λ = 1.5418 Å (Cu Kα).

Atomic structure:
```
data_KAu7
_chemical_formula_sum 'K4 Au28'
_space_group_name_H-M_alt 'F m -3 m'
_space_group_IT_number 225
_space_group_name_Hall '-F 4 2 3'
_cell_length_a 8.5309
_cell_length_b 8.5309
_cell_length_c 8.5309
_cell_angle_alpha 90.00
_cell_angle_beta 90.00
_cell_angle_gamma 90.00
loop_
_atom_site_label
_atom_site_type_symbol
_atom_site_fract_x
_atom_site_fract_y
_atom_site_fract_z
K1 K 0.0000 0.0000 0.0000
Au1 Au 0.0000 0.0000 0.5000
Au2 Au 0.0000 0.2500 0.2500
```

Principal peaks in the range 2θ = 15–90°, by angle:
2θ 18.01, d 4.925, intensity 6, hkl 1 1 1
2θ 20.83, d 4.265, intensity 4, hkl 2 0 0
2θ 29.62, d 3.016, intensity 3, hkl 2 2 0
2θ 34.88, d 2.572, intensity 4, hkl 3 1 1
2θ 36.49, d 2.463, intensity 100, hkl 2 2 2
2θ 42.38, d 2.133, intensity 50, hkl 4 0 0
2θ 46.40, d 1.957, intensity 2, hkl 3 3 1
2θ 61.49, d 1.508, intensity 33, hkl 4 4 0
2θ 73.66, d 1.286, intensity 40, hkl 6 2 2
2θ 77.52, d 1.231, intensity 12, hkl 4 4 4

***

# 2
The following is a calculated powder XRD pattern of K7Au. It was derived from a cell relaxed with GGA-PBE, using λ = 1.5418 Å (Cu Kα).

Atomic structure:
```
data_K7Au
_chemical_formula_sum 'K21 Au3'
_space_group_name_H-M_alt 'R -3 m'
_space_group_IT_number 166
_space_group_name_Hall '-R 3 2"'
_cell_length_a 6.7967
_cell_length_b 6.7967
_cell_length_c 36.0441
_cell_angle_alpha 90.00
_cell_angle_beta 90.00
_cell_angle_gamma 120.00
loop_
_atom_site_label
_atom_site_type_symbol
_atom_site_fract_x
_atom_site_fract_y
_atom_site_fract_z
K1 K 0.0000 0.0000 0.0000
K2 K 0.0000 0.0000 0.1468
K3 K 0.0000 0.0000 0.2826
K4 K 0.0000 0.0000 0.4124
Au1 Au 0.0000 0.0000 0.5000
```

Principal peaks in the range 2θ = 15–90°, by angle:
2θ 15.25, d 5.809, intensity 53, hkl 1 0 1
2θ 15.84, d 5.595, intensity 41, hkl 0 1 2
2θ 18.00, d 4.928, intensity 30, hkl 1 0 4
2θ 24.89, d 3.578, intensity 28, hkl 0 1 8
2θ 26.22, d 3.398, intensity 100, hkl 1 1 0
2θ 27.27, d 3.270, intensity 24, hkl 1 1 3
2θ 30.22, d 2.958, intensity 21, hkl 1 1 6
2θ 34.62, d 2.591, intensity 34, hkl 1 1 9
2θ 38.15, d 2.359, intensity 25, hkl 0 1 14
2θ 46.27, d 1.962, intensity 22, hkl 3 0 0

***

Copy entry 2 word for word.
The following is a calculated powder XRD pattern of K7Au. It was derived from a cell relaxed with GGA-PBE, using λ = 1.5418 Å (Cu Kα).

Atomic structure:
```
data_K7Au
_chemical_formula_sum 'K21 Au3'
_space_group_name_H-M_alt 'R -3 m'
_space_group_IT_number 166
_space_group_name_Hall '-R 3 2"'
_cell_length_a 6.7967
_cell_length_b 6.7967
_cell_length_c 36.0441
_cell_angle_alpha 90.00
_cell_angle_beta 90.00
_cell_angle_gamma 120.00
loop_
_atom_site_label
_atom_site_type_symbol
_atom_site_fract_x
_atom_site_fract_y
_atom_site_fract_z
K1 K 0.0000 0.0000 0.0000
K2 K 0.0000 0.0000 0.1468
K3 K 0.0000 0.0000 0.2826
K4 K 0.0000 0.0000 0.4124
Au1 Au 0.0000 0.0000 0.5000
```

Principal peaks in the range 2θ = 15–90°, by angle:
2θ 15.25, d 5.809, intensity 53, hkl 1 0 1
2θ 15.84, d 5.595, intensity 41, hkl 0 1 2
2θ 18.00, d 4.928, intensity 30, hkl 1 0 4
2θ 24.89, d 3.578, intensity 28, hkl 0 1 8
2θ 26.22, d 3.398, intensity 100, hkl 1 1 0
2θ 27.27, d 3.270, intensity 24, hkl 1 1 3
2θ 30.22, d 2.958, intensity 21, hkl 1 1 6
2θ 34.62, d 2.591, intensity 34, hkl 1 1 9
2θ 38.15, d 2.359, intensity 25, hkl 0 1 14
2θ 46.27, d 1.962, intensity 22, hkl 3 0 0